# ThCl4
Theoretical X-ray powder pattern, Cu Kα (λ = 1.5418 Å). Input: a crystal structure in the Materials Project, relaxed with GGA-PBE.
Neutral-atom scattering factors, no anomalous dispersion.

Structure:
abc: 7.977 7.977 7.977
angles: 131.48 131.48 71.05
Sites, in units of the cell vectors:
Th 0.375 0.125 0.250
Th 0.625 0.875 0.750
Cl 0.036 0.169 0.299
Cl 0.238 0.536 0.367
Cl 0.331 0.129 0.867
Cl 0.371 0.738 0.201
Cl 0.629 0.262 0.799
Cl 0.669 0.871 0.133
Cl 0.762 0.464 0.633
Cl 0.964 0.831 0.701

Principal peaks in the range 2θ = 5–70°, in order of rising 2θ:
d = 5.852 Å, 2θ 15.14, rel. 100; d = 3.772 Å, 2θ 23.58, rel. 63; d = 3.612 Å, 2θ 24.65, rel. 17; d = 2.860 Å, 2θ 31.28, rel. 41; d = 2.427 Å, 2θ 37.04, rel. 31; d = 2.414 Å, 2θ 37.24, rel. 16; d = 2.318 Å, 2θ 38.86, rel. 16; d = 2.306 Å, 2θ 39.05, rel. 26; d = 1.975 Å, 2θ 45.96, rel. 29; d = 1.961 Å, 2θ 46.30, rel. 13